BaLi2MnV2O8: theoretical powder XRD pattern (Cu Kα), based on DFT lattice parameters and positions (GGA+U).
Lines closer than 0.1° are merged.

Peak list (10 most intense, 5° ≤ 2θ ≤ 70°, in order of rising 2θ)
- 2θ 19.14, d = 4.637 Å, I 45
- 2θ 22.63, d = 3.929 Å, I 51
- 2θ 30.92, d = 2.892 Å, I 100
- 2θ 33.48, d = 2.677 Å, I 65
- 2θ 35.67, d = 2.517 Å, I 30
- 2θ 41.64, d = 2.169 Å, I 20
- 2θ 46.21, d = 1.964 Å, I 35
- 2θ 58.26, d = 1.584 Å, I 32
- 2θ 59.84, d = 1.546 Å, I 22
- 2θ 60.87, d = 1.522 Å, I 29

Cell and atoms:
```
BaLi2MnV2O8
1.0
5.351 0.000 0.000
-2.674 4.639 0.000
-0.002 -0.010 7.399
Ba Li Mn V O
1 2 1 2 8
Direct
0.000 0.000 0.000 Ba
0.333 0.666 0.737 Li
0.667 0.334 0.263 Li
0.000 0.000 0.500 Mn
0.334 0.667 0.247 V
0.666 0.333 0.753 V
0.037 0.699 0.315 O
0.303 0.340 0.315 O
0.334 0.667 0.013 O
0.338 0.035 0.685 O
0.662 0.965 0.315 O
0.666 0.333 0.987 O
0.697 0.660 0.685 O
0.963 0.301 0.685 O
```


BaLi2NiO3: theoretical powder XRD pattern (Cu Kα), based on DFT lattice parameters and positions (GGA+U).
Lines closer than 0.1° are merged.

Peak list (10 most intense, 5° ≤ 2θ ≤ 70°, in order of rising 2θ)
- 2θ 21.04, d = 4.221 Å, I 20
- 2θ 25.49, d = 3.494 Å, I 21
- 2θ 25.79, d = 3.454 Å, I 49
- 2θ 28.63, d = 3.118 Å, I 100
- 2θ 30.29, d = 2.951 Å, I 88
- 2θ 34.28, d = 2.616 Å, I 23
- 2θ 36.58, d = 2.457 Å, I 30
- 2θ 47.26, d = 1.923 Å, I 41
- 2θ 48.38, d = 1.882 Å, I 22
- 2θ 58.38, d = 1.581 Å, I 23

Cell and atoms:
```
BaLi2NiO3
1.0
8.011 0.000 0.000
0.000 6.909 0.000
0.000 0.000 7.146
Ba Li Ni O
4 8 4 12
Direct
0.038 0.250 0.154 Ba
0.462 0.750 0.654 Ba
0.538 0.250 0.346 Ba
0.962 0.750 0.846 Ba
0.142 0.035 0.549 Li
0.142 0.465 0.549 Li
0.358 0.535 0.049 Li
0.358 0.965 0.049 Li
0.642 0.035 0.951 Li
0.642 0.465 0.951 Li
0.858 0.535 0.451 Li
0.858 0.965 0.451 Li
0.188 0.750 0.316 Ni
0.312 0.250 0.816 Ni
0.688 0.750 0.184 Ni
0.812 0.250 0.684 Ni
0.014 0.750 0.495 O
0.220 0.002 0.812 O
0.220 0.498 0.812 O
0.280 0.502 0.312 O
0.280 0.998 0.312 O
0.486 0.250 0.995 O
0.514 0.750 0.005 O
0.720 0.002 0.688 O
0.720 0.498 0.688 O
0.780 0.502 0.188 O
0.780 0.998 0.188 O
0.986 0.250 0.505 O
```


BaLi2NiO3: theoretical powder XRD pattern (Cu Kα), based on DFT lattice parameters and positions (GGA+U).
Lines closer than 0.1° are merged.

Peak list (10 most intense, 5° ≤ 2θ ≤ 70°, in order of rising 2θ)
- 2θ 10.56, d = 8.380 Å, I 54
- 2θ 17.99, d = 4.932 Å, I 57
- 2θ 19.75, d = 4.495 Å, I 51
- 2θ 21.00, d = 4.230 Å, I 91
- 2θ 27.79, d = 3.210 Å, I 47
- 2θ 28.47, d = 3.135 Å, I 68
- 2θ 28.69, d = 3.111 Å, I 78
- 2θ 32.24, d = 2.777 Å, I 60
- 2θ 33.69, d = 2.660 Å, I 100
- 2θ 33.97, d = 2.639 Å, I 68

Cell and atoms:
```
BaLi2NiO3
1.0
5.438 0.000 0.000
0.000 13.755 0.000
-3.684 0.000 10.567
Ba Li Ni O
8 16 8 24
Direct
0.048 0.200 0.322 Ba
0.048 0.300 0.822 Ba
0.308 0.606 0.574 Ba
0.308 0.894 0.074 Ba
0.692 0.106 0.926 Ba
0.692 0.394 0.426 Ba
0.952 0.700 0.178 Ba
0.952 0.800 0.678 Ba
0.228 0.143 0.624 Li
0.228 0.357 0.124 Li
0.233 0.508 0.980 Li
0.233 0.992 0.480 Li
0.251 0.168 0.089 Li
0.251 0.332 0.589 Li
0.494 0.564 0.183 Li
0.494 0.936 0.683 Li
0.506 0.064 0.317 Li
0.506 0.436 0.817 Li
0.749 0.668 0.411 Li
0.749 0.832 0.911 Li
0.767 0.008 0.520 Li
0.767 0.492 0.020 Li
0.772 0.643 0.876 Li
0.772 0.857 0.376 Li
0.069 0.024 0.789 Ni
0.069 0.476 0.289 Ni
0.344 0.691 0.917 Ni
0.344 0.809 0.417 Ni
0.656 0.191 0.583 Ni
0.656 0.309 0.083 Ni
0.931 0.524 0.711 Ni
0.931 0.976 0.211 Ni
0.047 0.740 0.941 O
0.047 0.760 0.441 O
0.159 0.001 0.646 O
0.159 0.499 0.146 O
0.183 0.054 0.181 O
0.183 0.446 0.681 O
0.204 0.118 0.911 O
0.204 0.382 0.411 O
0.446 0.103 0.472 O
0.446 0.397 0.972 O
0.471 0.735 0.790 O
0.471 0.765 0.290 O
0.529 0.235 0.710 O
0.529 0.265 0.210 O
0.554 0.603 0.028 O
0.554 0.897 0.528 O
0.796 0.618 0.589 O
0.796 0.882 0.089 O
0.817 0.554 0.319 O
0.817 0.946 0.819 O
0.841 0.501 0.854 O
0.841 0.999 0.354 O
0.953 0.240 0.559 O
0.953 0.260 0.059 O
```


Ba10LiW7O30: theoretical powder XRD pattern (Cu Kα), based on DFT lattice parameters and positions (GGA+U).
Lines closer than 0.1° are merged.

Peak list (10 most intense, 5° ≤ 2θ ≤ 70°, in order of rising 2θ)
- 2θ 17.35, d = 5.112 Å, I 21
- 2θ 20.39, d = 4.355 Å, I 16
- 2θ 22.49, d = 3.953 Å, I 14
- 2θ 27.66, d = 3.225 Å, I 22
- 2θ 30.28, d = 2.951 Å, I 100
- 2θ 30.58, d = 2.923 Å, I 71
- 2θ 41.47, d = 2.177 Å, I 15
- 2θ 43.57, d = 2.077 Å, I 30
- 2θ 53.91, d = 1.701 Å, I 18
- 2θ 54.02, d = 1.697 Å, I 21

Cell and atoms:
```
Ba10LiW7O30
1.0
5.103 -2.956 0.000
5.103 2.956 0.000
-0.017 0.000 24.942
Ba Li W O
10 1 7 30
Direct
0.000 0.000 0.000 Ba
0.000 0.000 0.209 Ba
0.000 0.000 0.499 Ba
0.333 0.333 0.602 Ba
0.333 0.333 0.902 Ba
0.334 0.334 0.293 Ba
0.666 0.666 0.811 Ba
0.667 0.667 0.110 Ba
0.668 0.668 0.382 Ba
0.999 0.999 0.702 Ba
0.333 0.333 0.169 Li
0.332 0.332 0.751 W
0.334 0.334 0.051 W
0.334 0.334 0.451 W
0.666 0.666 0.547 W
0.667 0.667 0.248 W
0.667 0.667 0.656 W
0.667 0.667 0.950 W
0.003 0.499 0.998 O
0.006 0.498 0.507 O
0.017 0.489 0.698 O
0.177 0.177 0.416 O
0.178 0.178 0.089 O
0.178 0.178 0.789 O
0.178 0.644 0.415 O
0.179 0.644 0.089 O
0.180 0.645 0.788 O
0.356 0.823 0.598 O
0.362 0.818 0.909 O
0.362 0.819 0.294 O
0.489 0.017 0.698 O
0.495 0.495 0.506 O
0.497 0.497 0.698 O
0.498 0.006 0.507 O
0.499 0.003 0.998 O
0.499 0.499 0.998 O
0.509 0.509 0.201 O
0.509 0.982 0.201 O
0.644 0.178 0.415 O
0.644 0.179 0.089 O
0.645 0.180 0.788 O
0.818 0.362 0.909 O
0.819 0.362 0.294 O
0.819 0.819 0.909 O
0.820 0.820 0.293 O
0.821 0.821 0.600 O
0.823 0.356 0.598 O
0.982 0.509 0.201 O
```


Ba5Li2W3O15: theoretical powder XRD pattern (Cu Kα), based on DFT lattice parameters and positions (GGA+U).
Lines closer than 0.1° are merged.

Peak list (10 most intense, 5° ≤ 2θ ≤ 70°, in order of rising 2θ)
- 2θ 28.19, d = 3.166 Å, I 32
- 2θ 30.58, d = 2.923 Å, I 100
- 2θ 31.20, d = 2.866 Å, I 63
- 2θ 42.07, d = 2.148 Å, I 20
- 2θ 44.26, d = 2.047 Å, I 34
- 2θ 52.09, d = 1.756 Å, I 18
- 2θ 54.36, d = 1.688 Å, I 20
- 2θ 54.75, d = 1.677 Å, I 28
- 2θ 61.62, d = 1.505 Å, I 17
- 2θ 63.67, d = 1.462 Å, I 19

Cell and atoms:
```
Ba5Li2W3O15
1.0
5.846 0.000 0.000
-2.923 5.063 0.000
0.000 0.000 24.340
Ba Li W O
10 4 6 30
Direct
0.000 0.000 0.000 Ba
0.000 0.000 0.200 Ba
0.000 0.000 0.500 Ba
0.000 0.000 0.700 Ba
0.333 0.667 0.093 Ba
0.333 0.667 0.403 Ba
0.333 0.667 0.808 Ba
0.667 0.333 0.308 Ba
0.667 0.333 0.593 Ba
0.667 0.333 0.903 Ba
0.000 0.000 0.359 Li
0.000 0.000 0.859 Li
0.333 0.667 0.531 Li
0.667 0.333 0.031 Li
0.333 0.667 0.253 W
0.333 0.667 0.649 W
0.333 0.667 0.950 W
0.667 0.333 0.149 W
0.667 0.333 0.450 W
0.667 0.333 0.753 W
0.000 0.500 0.201 O
0.000 0.500 0.701 O
0.019 0.509 0.997 O
0.176 0.352 0.903 O
0.176 0.824 0.903 O
0.177 0.354 0.293 O
0.177 0.355 0.609 O
0.177 0.823 0.293 O
0.177 0.823 0.609 O
0.352 0.176 0.403 O
0.354 0.177 0.793 O
0.355 0.177 0.109 O
0.491 0.509 0.997 O
0.491 0.981 0.997 O
0.500 0.000 0.201 O
0.500 0.000 0.701 O
0.500 0.500 0.201 O
0.500 0.500 0.701 O
0.509 0.019 0.497 O
0.509 0.491 0.497 O
0.645 0.823 0.609 O
0.646 0.823 0.293 O
0.648 0.824 0.903 O
0.823 0.177 0.109 O
0.823 0.177 0.793 O
0.823 0.645 0.109 O
0.823 0.646 0.793 O
0.824 0.176 0.403 O
0.824 0.648 0.403 O
0.981 0.491 0.497 O
```